Dy4Ho3Pu: simulated X-ray powder pattern (Cu Kα (λ = 1.5418 Å)), based on a cell relaxed with PBE.
Kinematic intensities with the Lorentz-polarization factor, no thermal factor.

Cell and atoms:
Cell: 8.726 8.726 8.726 Å, 157.47 97.74 86.66°
Sites, in units of the cell vectors:
Dy (0.116, 0.868, 0.248)
Dy (0.380, 0.132, 0.248)
Dy (0.620, 0.868, 0.752)
Dy (0.884, 0.132, 0.752)
Ho (0.237, 0.737, 0.500)
Ho (0.500, 0.500, 0.000)
Ho (0.763, 0.263, 0.500)
Pu (0.000, 0.000, 0.000)

Largest 10 diffraction maxima, in order of falling intensity, 10 to 90 degrees two-theta:
2θ/deg, I/Imax
32.2, 100
30.8, 65
31.2, 57
38.1, 37
37.3, 33
64.1, 28
56.1, 21
27.1, 20
31.3, 18
50.0, 17